Starting from a PBE-relaxed structure, the X-ray powder pattern of TbB4Ir4 was calculated for copper Kα.

The 6 most intense peaks (2θ from 10° to 90°), most intense first:
- 2θ 34.5, intensity 100.0
- 2θ 37.2, intensity 63.0
- 2θ 40.3, intensity 26.0
- 2θ 47.1, intensity 22.6
- 2θ 27.8, intensity 22.3
- 2θ 65.3, intensity 20.1

Cell and atoms:
a = 7.6476 Å, b = 7.6476 Å, c = 3.9917 Å
α = 90.00°, β = 90.00°, γ = 90.00°
Atoms (fractional coordinates):
Tb1 0.2500 0.2500 0.2500
Tb2 0.7500 0.7500 0.7500
B1 0.0280 0.9076 0.1389
B2 0.0924 0.5280 0.6389
B3 0.4076 0.9720 0.6389
B4 0.4720 0.5924 0.1389
B5 0.5280 0.4076 0.8611
B6 0.5924 0.0280 0.3611
B7 0.9076 0.4720 0.3611
B8 0.9720 0.0924 0.8611
Ir1 0.0899 0.6405 0.1376
Ir2 0.1405 0.9101 0.6376
Ir3 0.3595 0.5899 0.6376
Ir4 0.4101 0.8595 0.1376
Ir5 0.5899 0.1405 0.8624
Ir6 0.6405 0.4101 0.3624
Ir7 0.8595 0.0899 0.3624
Ir8 0.9101 0.3595 0.8624

***

Starting from a PBE-relaxed structure, the X-ray powder pattern of HoPd6Au23 was calculated for copper Kα.

The 6 most intense peaks (2θ from 10° to 90°), most intense first:
- 2θ 38.0, intensity 100.0
- 2θ 44.5, intensity 32.4
- 2θ 77.6, intensity 25.7
- 2θ 64.1, intensity 21.7
- 2θ 43.7, intensity 16.9
- 2θ 76.5, intensity 13.1

Cell and atoms:
a = 10.0915 Å, b = 10.0915 Å, c = 10.0915 Å
α = 132.39°, β = 132.39°, γ = 69.62°
Atoms (fractional coordinates):
Ho1 0.0000 0.0000 0.0000
Pd1 0.2480 0.2480 0.4959
Pd2 0.2480 0.7520 0.0000
Pd3 0.2487 0.2487 0.0000
Pd4 0.7513 0.7513 0.0000
Pd5 0.7520 0.2480 0.0000
Pd6 0.7520 0.7520 0.5041
Au1 0.0000 0.0000 0.5000
Au2 0.0000 0.5000 0.0000
Au3 0.0000 0.5000 0.5000
Au4 0.1244 0.3737 0.7507
Au5 0.1271 0.8714 0.2558
Au6 0.1286 0.3844 0.2558
Au7 0.1286 0.8729 0.7442
Au8 0.3737 0.1244 0.7507
Au9 0.3737 0.6230 0.2493
Au10 0.3770 0.6263 0.7507
Au11 0.3844 0.1286 0.2558
Au12 0.5000 0.0000 0.0000
Au13 0.5000 0.0000 0.5000
Au14 0.5000 0.5000 0.0000
Au15 0.5000 0.5000 0.5000
Au16 0.6156 0.8714 0.7442
Au17 0.6230 0.3737 0.2493
Au18 0.6263 0.3770 0.7507
Au19 0.6263 0.8756 0.2493
Au20 0.8714 0.1271 0.2558
Au21 0.8714 0.6156 0.7442
Au22 0.8729 0.1286 0.7442
Au23 0.8756 0.6263 0.2493

***

Starting from a PBE-relaxed structure, the X-ray powder pattern of K5HgAu4 was calculated for copper Kα.

The 6 most intense peaks (2θ from 10° to 90°), most intense first:
- 2θ 31.4, intensity 100.0
- 2θ 31.2, intensity 51.8
- 2θ 21.9, intensity 51.2
- 2θ 55.7, intensity 39.2
- 2θ 38.7, intensity 26.4
- 2θ 22.3, intensity 25.3

Cell and atoms:
a = 4.0520 Å, b = 4.0520 Å, c = 19.9714 Å
α = 90.00°, β = 90.00°, γ = 90.00°
Atoms (fractional coordinates):
K1 0.0000 0.0000 0.0000
K2 0.0000 0.0000 0.1946
K3 0.0000 0.0000 0.3865
K4 0.0000 0.0000 0.6135
K5 0.0000 0.0000 0.8054
Hg1 0.5000 0.5000 0.5000
Au1 0.5000 0.5000 0.0990
Au2 0.5000 0.5000 0.2979
Au3 0.5000 0.5000 0.7021
Au4 0.5000 0.5000 0.9010